This entry pairs a crystal structure of Ce2Al4AgPt3 with its theoretical X-ray diffraction stick pattern. Radiation: CuKα. Structure: DFT lattice parameters and positions (GGA-PBE).
No peak broadening, texture or thermal motion is included.

Structure:
```
Ce2Al4AgPt3
1.0
4.2952 0.0000 0.0000
0.0000 4.2952 0.0000
0.0000 0.0000 10.5307
Ce Al Ag Pt
2 4 1 3
Cartesian
0.0000 2.1476 2.5493 Ce
2.1476 0.0000 7.9815 Ce
0.0000 0.0000 0.0000 Al
0.0000 2.1476 6.6633 Al
2.1476 0.0000 3.8674 Al
2.1476 2.1476 0.0000 Al
0.0000 0.0000 5.2654 Ag
0.0000 2.1476 9.1381 Pt
2.1476 0.0000 1.3926 Pt
2.1476 2.1476 5.2654 Pt
```

Top 10 peaks for 2θ from 15° to 90°, in order of rising 2θ:
Position (°2θ)	d [Å]	I_rel	h k l
25.37	3.510	34	0 0 3
26.79	3.328	38	1 0 2
30.64	2.918	66	1 1 1
32.95	2.718	70	1 0 3
34.08	2.631	100	1 1 2
42.07	2.148	69	2 0 0
48.12	1.891	36	1 0 5
54.45	1.685	34	2 1 3
61.00	1.519	33	2 2 0
71.75	1.315	30	0 0 8